[1]
Structure and calculated powder diffractogram of TlReO2 (DFT lattice parameters and positions (PBE); copper Kα).
Neutral-atom scattering factors, no anomalous dispersion.

The 10 most intense peaks (2θ = 10–80°), in order of rising 2θ:
hkl 0 0 4, 27.2°, I 45; hkl 2 0 2, 30.3°, I 100; hkl 2 2 0, 38.5°, I 34; hkl 2 2 4, 47.8°, I 37; hkl 2 0 6, 50.0°, I 26; hkl 4 0 0, 55.6°, I 11; hkl 4 0 4, 63.0°, I 16; hkl 4 2 2, 64.7°, I 27; hkl 2 2 8, 70.1°, I 12; hkl 4 2 6, 78.1°, I 16

Crystal structure
a b c (Å): 6.608 6.608 13.111
angles (deg): 90.00 90.00 90.00
Space group I4_1/amd (No. 141, origin choice 2)
Unique sites:
Tl  0.000  0.000  0.000 x8
Re  0.000  0.000  0.500 x8
O  0.000  0.074  0.239 x16



[2]
Structure and calculated powder diffractogram of K2PrCuI6 (DFT lattice parameters and positions (PBE); copper Kα).
Neutral-atom scattering factors, no anomalous dispersion.

The 10 most intense peaks (2θ = 10–80°), in order of rising 2θ:
hkl 2 0 0, 14.8°, I 72; hkl 2 2 2, 25.8°, I 69; hkl 4 0 0, 29.8°, I 100; hkl 4 2 0, 33.4°, I 38; hkl 4 4 0, 42.7°, I 72; hkl 6 0 0, 45.4°, I 20; hkl 6 2 2, 50.5°, I 29; hkl 4 4 4, 52.9°, I 25; hkl 8 4 0, 70.3°, I 30; hkl 8 4 4, 78.2°, I 22

Crystal structure
a b c (Å): 11.981 11.981 11.981
angles (deg): 90.00 90.00 90.00
Space group Fm-3m (No. 225)
Unique sites:
K  0.250  0.250  0.250 x8
Pr  0.000  0.000  0.000 x4
Cu  0.000  0.000  0.500 x4
I  0.000  0.000  0.260 x24



[3]
Structure and calculated powder diffractogram of Cs2Li2B2P4O15 (DFT lattice parameters and positions (PBE); copper Kα).
Neutral-atom scattering factors, no anomalous dispersion.

The 10 most intense peaks (2θ = 10–80°), in order of rising 2θ:
hkl -1 1 1, 23.7°, I 100; hkl 1 2 -1, 24.3°, I 39; hkl 0 2 0, 24.4°, I 41; hkl 2 1 0, 25.3°, I 56; hkl 0 0 4, 25.8°, I 78; hkl 1 -1 3, 26.5°, I 95; hkl 2 0 1, 26.8°, I 78; hkl 1 2 -2, 27.4°, I 40; hkl 1 2 3, 28.3°, I 87; hkl 1 2 -3, 31.5°, I 45

Crystal structure
a b c (Å): 7.274 7.980 14.274
angles (deg): 86.04 75.64 66.20
Space group P-1 (No. 2)
Unique sites:
Cs  0.099  0.240  0.351 x2
Cs  0.282  0.812  0.866 x2
Li  0.222  0.227  0.009 x2
Li  0.289  0.258  0.776 x2
B  0.136  0.717  0.286 x2
B  0.463  0.757  0.510 x2
P  0.165  0.581  0.110 x2
P  0.264  0.109  0.598 x2
P  0.340  0.842  0.129 x2
P  0.483  0.530  0.360 x2
O  0.022  0.683  0.046 x2
O  0.023  0.198  0.625 x2
O  0.047  0.655  0.220 x2
O  0.211  0.998  0.077 x2
O  0.221  0.852  0.241 x2
O  0.258  0.375  0.104 x2
O  0.296  0.552  0.316 x2
O  0.310  0.948  0.527 x2
O  0.324  0.255  0.532 x2
O  0.334  0.461  0.714 x2
O  0.357  0.647  0.090 x2
O  0.363  0.055  0.682 x2
O  0.389  0.674  0.446 x2
O  0.440  0.179  0.879 x2
O  0.456  0.669  0.603 x2



What did the first record say?
Structure and calculated powder diffractogram of TlReO2 (DFT lattice parameters and positions (PBE); copper Kα).
Neutral-atom scattering factors, no anomalous dispersion.

The 10 most intense peaks (2θ = 10–80°), in order of rising 2θ:
hkl 0 0 4, 27.2°, I 45; hkl 2 0 2, 30.3°, I 100; hkl 2 2 0, 38.5°, I 34; hkl 2 2 4, 47.8°, I 37; hkl 2 0 6, 50.0°, I 26; hkl 4 0 0, 55.6°, I 11; hkl 4 0 4, 63.0°, I 16; hkl 4 2 2, 64.7°, I 27; hkl 2 2 8, 70.1°, I 12; hkl 4 2 6, 78.1°, I 16

Crystal structure
a b c (Å): 6.608 6.608 13.111
angles (deg): 90.00 90.00 90.00
Space group I4_1/amd (No. 141, origin choice 2)
Unique sites:
Tl  0.000  0.000  0.000 x8
Re  0.000  0.000  0.500 x8
O  0.000  0.074  0.239 x16



What did the second record say?
Structure and calculated powder diffractogram of K2PrCuI6 (DFT lattice parameters and positions (PBE); copper Kα).
Neutral-atom scattering factors, no anomalous dispersion.

The 10 most intense peaks (2θ = 10–80°), in order of rising 2θ:
hkl 2 0 0, 14.8°, I 72; hkl 2 2 2, 25.8°, I 69; hkl 4 0 0, 29.8°, I 100; hkl 4 2 0, 33.4°, I 38; hkl 4 4 0, 42.7°, I 72; hkl 6 0 0, 45.4°, I 20; hkl 6 2 2, 50.5°, I 29; hkl 4 4 4, 52.9°, I 25; hkl 8 4 0, 70.3°, I 30; hkl 8 4 4, 78.2°, I 22

Crystal structure
a b c (Å): 11.981 11.981 11.981
angles (deg): 90.00 90.00 90.00
Space group Fm-3m (No. 225)
Unique sites:
K  0.250  0.250  0.250 x8
Pr  0.000  0.000  0.000 x4
Cu  0.000  0.000  0.500 x4
I  0.000  0.000  0.260 x24